Computed powder diffraction line list
Compound: Ba3Ac
Radiation: Cu Kα, 1.54184 Å
Structure: a PBE-relaxed structure

Structure:
a b c (Å): 4.286 4.286 42.481
angles (deg): 90.00 90.00 120.00
Atoms (fractional coordinates):
Ba  0.000  0.000  0.000
Ba  0.000  0.000  0.246
Ba  0.000  0.000  0.754
Ba  0.333  0.667  0.421
Ba  0.333  0.667  0.667
Ba  0.333  0.667  0.912
Ba  0.667  0.333  0.088
Ba  0.667  0.333  0.333
Ba  0.667  0.333  0.579
Ac  0.000  0.000  0.500
Ac  0.333  0.667  0.167
Ac  0.667  0.333  0.833

Main lines, sorted by position (5° ≤ 2θ ≤ 70°):
d [Å]  I_rel
14.160  20.4
3.540  32.9
3.504  100.0
3.042  68.5
2.159  24.7
2.143  26.2
1.844  14.6
1.833  31.0
1.828  16.0
1.752  13.8

---

Computed powder diffraction line list
Compound: PtI4
Radiation: Cu Kα, 1.54184 Å
Structure: a PBE-relaxed structure

Structure:
a b c (Å): 6.812 8.348 7.004
angles (deg): 90.00 107.31 90.00
Atoms (fractional coordinates):
Pt  0.000  0.114  0.250
Pt  0.000  0.886  0.750
I  0.227  0.117  0.993
I  0.227  0.883  0.493
I  0.254  0.342  0.461
I  0.254  0.658  0.961
I  0.746  0.342  0.039
I  0.746  0.658  0.539
I  0.773  0.117  0.507
I  0.773  0.883  0.007

Main lines, sorted by position (5° ≤ 2θ ≤ 70°):
d [Å]  I_rel
8.348  49.3
6.503  37.6
5.219  27.4
5.130  27.6
4.629  18.6
3.340  39.2
2.922  100.0
2.781  42.7
2.036  30.0
1.994  31.9

---

Computed powder diffraction line list
Compound: Sr3Ga3N5
Radiation: Cu Kα, 1.54184 Å
Structure: a PBE-relaxed structure

Structure:
a b c (Å): 6.013 7.246 8.770
angles (deg): 108.39 103.53 95.24
Atoms (fractional coordinates):
Sr  0.156  0.154  0.202
Sr  0.165  0.362  0.872
Sr  0.319  0.910  0.609
Sr  0.681  0.090  0.391
Sr  0.835  0.638  0.128
Sr  0.844  0.846  0.798
Ga  0.210  0.454  0.567
Ga  0.378  0.622  0.283
Ga  0.409  0.816  0.973
Ga  0.591  0.184  0.027
Ga  0.622  0.378  0.717
Ga  0.790  0.546  0.433
N  0.113  0.553  0.381
N  0.243  0.722  0.109
N  0.265  0.028  0.906
N  0.341  0.212  0.527
N  0.455  0.610  0.775
N  0.545  0.390  0.225
N  0.659  0.788  0.473
N  0.735  0.972  0.094
N  0.757  0.278  0.891
N  0.887  0.447  0.619

Main lines, sorted by position (5° ≤ 2θ ≤ 70°):
d [Å]  I_rel
3.102  37.3
2.852  61.5
2.835  32.7
2.787  100.0
2.724  77.8
2.491  21.1
2.347  29.3
2.302  23.7
2.188  26.6
1.849  18.1

---

Computed powder diffraction line list
Compound: RbAg3Pt
Radiation: Cu Kα, 1.54184 Å
Structure: a PBE-relaxed structure

Structure:
a b c (Å): 7.345 7.345 5.343
angles (deg): 90.00 90.00 125.90
Atoms (fractional coordinates):
Rb  0.086  0.914  0.750
Rb  0.914  0.086  0.250
Ag  0.130  0.454  0.750
Ag  0.312  0.688  0.250
Ag  0.454  0.130  0.250
Ag  0.546  0.870  0.750
Ag  0.688  0.312  0.750
Ag  0.870  0.546  0.250
Pt  0.500  0.500  0.000
Pt  0.500  0.500  0.500

Main lines, sorted by position (5° ≤ 2θ ≤ 70°):
d [Å]  I_rel
5.950  100.0
3.015  20.8
2.975  30.0
2.599  79.7
2.473  35.0
2.437  70.6
2.156  52.4
2.069  26.1
1.696  29.4
1.507  20.8